Theoretical XRD peak list of ZrNCl for Cu Kα (λ = 1.5418 Å), from the GGA-PBE geometry in the Materials Project.
No peak broadening, texture or thermal motion is included.

Most intense lines, 2θ from 10° to 80°, sorted by position:
14.4 deg, intensity 100, (0 0 2); 21.7 deg, intensity 19, (0 0 3); 30.7 deg, intensity 33, (1 0 0); 31.6 deg, intensity 33, (1 0 1); 34.1 deg, intensity 53, (1 0 2); 37.9 deg, intensity 68, (0 1 3); 48.5 deg, intensity 37, (0 1 5); 54.6 deg, intensity 25, (1 1 0); 56.8 deg, intensity 15, (1 1 2); 69.1 deg, intensity 13, (1 0 8)

Structural model:
```
data_ZrNCl
_symmetry_space_group_name_H-M 'P -3 m 1'
_symmetry_Int_Tables_number 164
_symmetry_space_group_name_Hall '-P 3 2"'
_cell_length_a 3.3616
_cell_length_b 3.3616
_cell_length_c 12.2929
_cell_angle_alpha 90.00
_cell_angle_beta 90.00
_cell_angle_gamma 120.00
loop_
_atom_site_label
_atom_site_type_symbol
_atom_site_fract_x
_atom_site_fract_y
_atom_site_fract_z
Zr1 Zr 0.0000 0.0000 0.1956
N1 N 0.3333 0.6667 0.8689
Cl1 Cl 0.3333 0.6667 0.6420
```

---

Theoretical XRD peak list of ZrNCl for Cu Kα (λ = 1.5418 Å), from the GGA-PBE geometry in the Materials Project.
No peak broadening, texture or thermal motion is included.

Most intense lines, 2θ from 10° to 80°, sorted by position:
14.5 deg, intensity 100, (0 0 2); 21.8 deg, intensity 23, (0 0 3); 29.9 deg, intensity 35, (1 0 0); 30.8 deg, intensity 30, (1 0 1); 33.4 deg, intensity 51, (1 0 2); 37.3 deg, intensity 86, (1 0 3); 48.1 deg, intensity 34, (0 1 5); 53.1 deg, intensity 28, (1 1 0); 55.3 deg, intensity 16, (1 1 2); 66.6 deg, intensity 15, (0 2 3)

Structural model:
```
data_ZrNCl
_symmetry_space_group_name_H-M 'P -3 m 1'
_symmetry_Int_Tables_number 164
_symmetry_space_group_name_Hall '-P 3 2"'
_cell_length_a 3.4519
_cell_length_b 3.4519
_cell_length_c 12.2341
_cell_angle_alpha 90.00
_cell_angle_beta 90.00
_cell_angle_gamma 120.00
loop_
_atom_site_label
_atom_site_type_symbol
_atom_site_fract_x
_atom_site_fract_y
_atom_site_fract_z
Zr1 Zr 0.0000 0.0000 0.1833
N1 N 0.3333 0.6667 0.1315
Cl1 Cl 0.3333 0.6667 0.6632
```

---

Theoretical XRD peak list of ZrNCl for Cu Kα (λ = 1.5418 Å), from the GGA-PBE geometry in the Materials Project.
No peak broadening, texture or thermal motion is included.

Most intense lines, 2θ from 10° to 80°, sorted by position:
28.4 deg, intensity 16, (1 0 1); 30.9 deg, intensity 100, (1 0 4); 37.6 deg, intensity 16, (0 0 12); 38.0 deg, intensity 41, (0 1 8); 42.6 deg, intensity 12, (1 0 10); 50.0 deg, intensity 32, (1 1 0); 51.0 deg, intensity 9, (1 1 3); 60.0 deg, intensity 14, (0 2 4); 64.2 deg, intensity 18, (1 1 12); 64.5 deg, intensity 8, (2 0 8)

Structural model:
```
data_ZrNCl
_symmetry_space_group_name_H-M 'R -3 m'
_symmetry_Int_Tables_number 166
_symmetry_space_group_name_Hall '-R 3 2"'
_cell_length_a 3.6466
_cell_length_b 3.6466
_cell_length_c 28.6941
_cell_angle_alpha 90.00
_cell_angle_beta 90.00
_cell_angle_gamma 120.00
loop_
_atom_site_label
_atom_site_type_symbol
_atom_site_fract_x
_atom_site_fract_y
_atom_site_fract_z
Zr1 Zr 0.0000 0.0000 0.1207
N1 N 0.0000 0.0000 0.1969
Cl1 Cl 0.0000 0.0000 0.3907
```

---

Theoretical XRD peak list of NaCl3 for Cu Kα (λ = 1.5418 Å), from the GGA-PBE geometry in the Materials Project.
No peak broadening, texture or thermal motion is included.

Most intense lines, 2θ from 10° to 80°, sorted by position:
22.8 deg, intensity 6, (1 1 0); 32.4 deg, intensity 25, (2 0 0); 36.3 deg, intensity 100, (2 1 0); 40.0 deg, intensity 54, (2 1 1); 57.8 deg, intensity 9, (2 2 2); 60.4 deg, intensity 19, (3 2 0); 62.9 deg, intensity 24, (3 2 1); 67.8 deg, intensity 11, (4 0 0); 77.2 deg, intensity 6, (4 2 0); 79.5 deg, intensity 16, (4 2 1)

Structural model:
```
data_NaCl3
_symmetry_space_group_name_H-M 'P m -3 n'
_symmetry_Int_Tables_number 223
_symmetry_space_group_name_Hall '-P 4n 2 3'
_cell_length_a 5.527
_cell_length_b 5.527
_cell_length_c 5.527
_cell_angle_alpha 90.00
_cell_angle_beta 90.00
_cell_angle_gamma 90.00
loop_
_atom_site_label
_atom_site_type_symbol
_atom_site_fract_x
_atom_site_fract_y
_atom_site_fract_z
Na1 Na 0.000 0.000 0.000
Cl1 Cl 0.000 0.250 0.500
```

---

Theoretical XRD peak list of NaCl7 for Cu Kα (λ = 1.5418 Å), from the GGA-PBE geometry in the Materials Project.
No peak broadening, texture or thermal motion is included.

Most intense lines, 2θ from 10° to 80°, sorted by position:
25.1 deg, intensity 83, (1 1 1); 29.1 deg, intensity 80, (2 0 0); 32.6 deg, intensity 100, (2 1 0); 35.8 deg, intensity 57, (2 1 1); 46.8 deg, intensity 30, (3 0 1); 53.8 deg, intensity 29, (3 2 0); 56.0 deg, intensity 59, (3 1 2); 62.3 deg, intensity 18, (4 1 0); 77.7 deg, intensity 9, (4 0 3); 79.6 deg, intensity 20, (4 3 1)

Structural model:
```
data_NaCl7
_symmetry_space_group_name_H-M 'P m -3'
_symmetry_Int_Tables_number 200
_symmetry_space_group_name_Hall '-P 2 2 3'
_cell_length_a 6.143
_cell_length_b 6.143
_cell_length_c 6.143
_cell_angle_alpha 90.00
_cell_angle_beta 90.00
_cell_angle_gamma 90.00
loop_
_atom_site_label
_atom_site_type_symbol
_atom_site_fract_x
_atom_site_fract_y
_atom_site_fract_z
Na1 Na 0.000 0.000 0.000
Cl1 Cl 0.000 0.167 0.500
Cl2 Cl 0.500 0.500 0.500
```